Ba2Cd2Pd15: simulated powder XRD pattern (a wavelength of 1.5418 Å), based on a GGA-PBE-relaxed structure.

Cell and atoms:
Cell: 7.136 7.136 7.136 Å, 82.56 82.56 82.56°
Positions (direct):
1 Ba 0.152 0.152 0.152
2 Ba 0.848 0.848 0.848
3 Cd 0.400 0.400 0.400
4 Cd 0.600 0.600 0.600
5 Pd 0.000 0.500 0.500
6 Pd 0.155 0.155 0.652
7 Pd 0.155 0.652 0.155
8 Pd 0.205 0.500 0.795
9 Pd 0.205 0.795 0.500
10 Pd 0.348 0.845 0.845
11 Pd 0.500 0.000 0.500
12 Pd 0.500 0.205 0.795
13 Pd 0.500 0.500 0.000
14 Pd 0.500 0.795 0.205
15 Pd 0.652 0.155 0.155
16 Pd 0.795 0.205 0.500
17 Pd 0.795 0.500 0.205
18 Pd 0.845 0.348 0.845
19 Pd 0.845 0.845 0.348

The 8 most intense peaks (2θ from 10° to 90°), in order of rising 2θ:
- 32.95 deg, I = 36
- 33.94 deg, I = 32
- 38.23 deg, I = 66
- 38.42 deg, I = 100
- 38.97 deg, I = 37
- 43.12 deg, I = 73
- 69.10 deg, I = 30
- 70.21 deg, I = 21